For CsHg2BS4, a DFT-relaxed cell (PBE, Alexandria) gives the calculated PXRD pattern in this record (CuKα).

Structural model:
a = 6.132 Å, b = 7.967 Å, c = 9.002 Å
α = 90.00°, β = 90.00°, γ = 90.00°
Sites, in units of the cell vectors:
Cs 0.000 0.000 0.000
Cs 0.500 0.500 0.500
Hg 0.000 0.500 0.171
Hg 0.000 0.500 0.829
Hg 0.500 0.000 0.329
Hg 0.500 0.000 0.671
B 0.000 0.000 0.500
B 0.500 0.500 0.000
S 0.169 0.154 0.376
S 0.169 0.846 0.624
S 0.331 0.346 0.876
S 0.331 0.654 0.124
S 0.669 0.346 0.124
S 0.669 0.654 0.876
S 0.831 0.154 0.624
S 0.831 0.846 0.376

Largest 10 diffraction maxima, in order of rising 2θ, 5 to 70 degrees two-theta:
17.50°, intensity 68, hkl 1 0 1
18.26°, intensity 42, hkl 1 1 0
22.32°, intensity 69, hkl 0 2 0
27.00°, intensity 100, hkl 1 1 2
28.50°, intensity 72, hkl 1 2 1
29.12°, intensity 33, hkl 2 0 0
31.87°, intensity 78, hkl 0 1 3
37.00°, intensity 51, hkl 2 2 0
43.71°, intensity 50, hkl 2 1 3
55.02°, intensity 50, hkl 2 4 0